(1)
Structure and calculated powder diffractogram of TiMnAsO5 (the PBE+U geometry in Alexandria; Cu Kα (λ = 1.5418 Å)).
No peak broadening, texture or thermal motion is included.

Structural model:
a = 7.641 Å, b = 7.954 Å, c = 7.647 Å
α = 90.00°, β = 118.02°, γ = 90.00°
Space group C2/c (No. 15)
Unique sites:
Ti (0.250, 0.250, 0.000) (multiplicity 4)
Mn (0.000, 0.027, 0.250) (multiplicity 4)
As (0.000, 0.406, 0.250) (multiplicity 4)
O (0.000, 0.224, 0.750) (multiplicity 4)
O (0.095, 0.242, 0.154) (multiplicity 8)
O (0.245, 0.004, 0.995) (multiplicity 8)

Principal peaks in the range 2θ = 10–90°, low angle first:
- 25.2°, I = 80
- 26.4°, I = 32
- 27.2°, I = 100
- 34.9°, I = 22
- 36.6°, I = 47
- 46.1°, I = 34
- 54.4°, I = 47
- 60.2°, I = 20



(2)
Structure and calculated powder diffractogram of MnTlAs2O8 (the PBE+U geometry in Alexandria; Cu Kα (λ = 1.5418 Å)).
No peak broadening, texture or thermal motion is included.

Structural model:
a = 4.9422 Å, b = 4.9422 Å, c = 25.8987 Å
α = 90.00°, β = 90.00°, γ = 120.00°
Space group R32 (No. 155, hexagonal axes)
Unique sites:
Mn (0.0000, 0.0000, 0.0000) (multiplicity 3)
Tl (0.0000, 0.0000, 0.5000) (multiplicity 3)
As (0.0000, 0.0000, 0.2640) (multiplicity 6)
O (0.0000, 0.0000, 0.1977) (multiplicity 6)
O (0.0184, 0.3756, 0.6173) (multiplicity 18)

Principal peaks in the range 2θ = 10–90°, low angle first:
- 21.0°, I = 14
- 24.9°, I = 100
- 27.0°, I = 15
- 34.7°, I = 26
- 36.4°, I = 35
- 44.6°, I = 18
- 56.6°, I = 14
- 58.8°, I = 17



(3)
Structure and calculated powder diffractogram of Mn3Zn2AsO12 (the PBE+U geometry in Alexandria; Cu Kα (λ = 1.5418 Å)).
No peak broadening, texture or thermal motion is included.

Structural model:
a = 24.075 Å, b = 2.990 Å, c = 7.784 Å
α = 90.00°, β = 94.77°, γ = 90.00°
Space group Cm (No. 8)
Unique sites:
Mn (0.000, 0.000, 0.000) (multiplicity 2)
Mn (0.085, 0.500, 0.218) (multiplicity 2)
Mn (0.171, 0.000, 0.513) (multiplicity 2)
Zn (0.296, 0.500, 0.623) (multiplicity 2)
Zn (0.419, 0.000, 0.765) (multiplicity 2)
As (0.188, 0.000, 0.988) (multiplicity 2)
O (0.038, 0.000, 0.245) (multiplicity 2)
O (0.055, 0.500, 0.987) (multiplicity 2)
O (0.122, 0.500, 0.451) (multiplicity 2)
O (0.148, 0.000, 0.160) (multiplicity 2)
O (0.161, 0.000, 0.787) (multiplicity 2)
O (0.225, 0.500, 0.526) (multiplicity 2)
O (0.232, 0.500, 0.026) (multiplicity 2)
O (0.341, 0.000, 0.317) (multiplicity 2)
O (0.365, 0.500, 0.720) (multiplicity 2)
O (0.393, 0.000, 0.331) (multiplicity 2)
O (0.452, 0.000, 0.036) (multiplicity 2)
O (0.474, 0.500, 0.768) (multiplicity 2)

Principal peaks in the range 2θ = 10–90°, low angle first:
- 13.1°, I = 100
- 14.8°, I = 15
- 17.9°, I = 32
- 23.5°, I = 24
- 26.3°, I = 25
- 33.5°, I = 15
- 35.4°, I = 43
- 38.4°, I = 15